The following is a theoretical XRD peak list of AgPd2Pt6. It was derived from a DFT-relaxed cell (PBE, Alexandria), using Cu Kα X-rays.

Main lines, most intense first (2θ from 10° to 90°):
2θ (°)	intensity	h k l
40.00	100.0	1 3 0
45.13	89.6	1 2 3
38.76	60.5	2 0 0
34.89	45.3	0 1 3
38.28	38.6	1 0 3
53.13	27.2	2 1 3
82.74	24.8	1 3 6
69.91	24.6	0 5 3

Atomic structure:
Lattice parameters (Å, degrees): 4.646 7.732 8.179 90.00 90.00 90.00
Space group Immm (No. 71)
Unique sites:
Ag1 0.000 0.000 0.000 (multiplicity 2)
Pd1 0.000 0.000 0.332 (multiplicity 4)
Pt1 0.000 0.308 0.500 (multiplicity 4)
Pt2 0.000 0.318 0.169 (multiplicity 8)

=====

The following is a theoretical XRD peak list of AgPdPt2. It was derived from a DFT-relaxed cell (PBE, Alexandria), using Cu Kα X-rays.

Main lines, most intense first (2θ from 10° to 90°):
2θ (°)	intensity	h k l
40.61	100.0	0 1 5
43.58	87.1	1 0 7
37.71	59.4	0 0 12
79.79	44.5	1 1 12
37.85	35.9	0 1 2
67.27	32.6	1 1 0
18.60	23.4	0 0 6
67.91	20.1	0 1 17

Atomic structure:
Lattice parameters (Å, degrees): 2.7835 2.7835 28.6223 90.00 90.00 120.00
Space group R3m (No. 160, hexagonal axes)
Unique sites:
Ag1 0.0000 0.0000 0.0000 (multiplicity 3)
Pd1 0.0000 0.0000 0.8329 (multiplicity 3)
Pt1 0.0000 0.0000 0.4177 (multiplicity 3)
Pt2 0.0000 0.0000 0.5819 (multiplicity 3)

=====

The following is a theoretical XRD peak list of AgPd3Pt6. It was derived from a DFT-relaxed cell (PBE, Alexandria), using Cu Kα X-rays.

Main lines, most intense first (2θ from 10° to 90°):
2θ (°)	intensity	h k l
39.05	100.0	0 1 3
46.42	72.4	1 0 7
38.54	56.4	0 0 10
40.42	55.9	0 1 4
80.18	40.8	1 1 10
67.14	34.4	1 1 0
80.45	28.9	1 0 17
44.13	27.7	1 0 6

Atomic structure:
Lattice parameters (Å, degrees): 2.7883 2.7883 23.3589 90.00 90.00 120.00
Space group P-3m1 (No. 164)
Unique sites:
Ag1 0.0000 0.0000 0.0000 (multiplicity 1)
Pd1 0.0000 0.0000 0.2039 (multiplicity 2)
Pd2 0.0000 0.0000 0.5000 (multiplicity 1)
Pt1 0.3333 0.6667 0.3023 (multiplicity 2)
Pt2 0.3333 0.6667 0.5980 (multiplicity 2)
Pt3 0.3333 0.6667 0.8960 (multiplicity 2)

=====

The following is a theoretical XRD peak list of Ag2Pd2Pt. It was derived from a DFT-relaxed cell (PBE, Alexandria), using Cu Kα X-rays.

Main lines, most intense first (2θ from 10° to 90°):
2θ (°)	intensity	h k l
38.92	100.0	0 1 5
45.08	65.1	1 0 10
38.33	34.3	0 0 15
79.03	24.2	1 1 15
65.25	20.7	0 1 20
66.05	20.4	1 1 0
78.28	12.3	1 0 25
79.40	12.1	2 0 5

Atomic structure:
Lattice parameters (Å, degrees): 2.8289 2.8289 35.2218 90.00 90.00 120.00
Space group R-3m (No. 166, hexagonal axes)
Unique sites:
Ag1 0.0000 0.0000 0.2015 (multiplicity 6)
Pd1 0.0000 0.0000 0.3984 (multiplicity 6)
Pt1 0.0000 0.0000 0.0000 (multiplicity 3)

=====

The following is a theoretical XRD peak list of Ag3Pd4Pt. It was derived from a DFT-relaxed cell (PBE, Alexandria), using Cu Kα X-rays.

Main lines, most intense first (2θ from 10° to 90°):
2θ (°)	intensity	h k l
38.86	100.0	0 2 2
38.36	74.0	2 1 1
38.53	50.8	0 4 0
47.54	32.4	2 3 1
51.84	25.6	2 2 2
32.94	23.7	2 0 0
82.20	21.6	4 2 2
69.93	16.7	0 6 2

Atomic structure:
Lattice parameters (Å, degrees): 5.439 9.347 5.337 90.00 90.00 90.00
Space group Imm2 (No. 44)
Unique sites:
Ag1 0.000 0.000 0.000 (multiplicity 2)
Ag2 0.000 0.253 0.746 (multiplicity 4)
Pd1 0.000 0.252 0.247 (multiplicity 4)
Pd2 0.248 0.500 0.993 (multiplicity 4)
Pt1 0.000 0.500 0.480 (multiplicity 2)

=====

The following is a theoretical XRD peak list of AgPd7Pt4. It was derived from a DFT-relaxed cell (PBE, Alexandria), using Cu Kα X-rays.

Main lines, most intense first (2θ from 10° to 90°):
2θ (°)	intensity	h k l
39.46	100.0	1 0 4
45.74	65.0	0 1 8
38.98	33.6	0 0 12
80.33	24.4	1 1 12
66.36	20.9	1 0 16
67.01	20.7	1 1 0
80.64	12.4	0 2 4
79.73	12.1	0 1 20

Atomic structure:
Lattice parameters (Å, degrees): 2.7931 2.7931 27.7258 90.00 90.00 120.00
Space group P-3m1 (No. 164)
Unique sites:
Ag1 0.0000 0.0000 0.0000 (multiplicity 1)
Pd1 0.0000 0.0000 0.2524 (multiplicity 2)
Pd2 0.0000 0.0000 0.5000 (multiplicity 1)
Pd3 0.3333 0.6667 0.6657 (multiplicity 2)
Pd4 0.3333 0.6667 0.9143 (multiplicity 2)
Pt1 0.3333 0.6667 0.1692 (multiplicity 2)
Pt2 0.3333 0.6667 0.4172 (multiplicity 2)

=====

The following is a theoretical XRD peak list of AgPd8Pt6. It was derived from a DFT-relaxed cell (PBE, Alexandria), using Cu Kα X-rays.

Main lines, most intense first (2θ from 10° to 90°):
2θ (°)	intensity	h k l
42.59	100.0	3 -2 1
36.15	62.2	3 1 0
44.06	45.5	3 2 0
38.68	44.3	2 0 1
26.32	44.0	2 1 0
46.45	37.4	1 4 0
83.44	25.9	0 7 1
45.04	23.2	3 0 1

Atomic structure:
Lattice parameters (Å, degrees): 10.3442 10.3442 2.7250 90.00 90.00 120.00
Space group P-3 (No. 147)
Unique sites:
Ag1 0.0000 0.0000 0.0000 (multiplicity 1)
Pd1 0.0851 0.7976 0.7283 (multiplicity 6)
Pd2 0.3333 0.6667 0.2530 (multiplicity 2)
Pt1 0.0879 0.4634 0.7550 (multiplicity 6)

=====

The following is a theoretical XRD peak list of AgPd6Pt3. It was derived from a DFT-relaxed cell (PBE, Alexandria), using Cu Kα X-rays.

Main lines, most intense first (2θ from 10° to 90°):
2θ (°)	intensity	h k l
41.17	100.0	2 0 2
40.75	59.5	3 1 -1
24.39	40.2	0 2 0
42.50	36.5	1 3 1
41.40	32.1	2 2 -2
40.32	31.3	2 2 1
27.76	20.0	0 2 1
23.67	19.0	1 1 1

Atomic structure:
Lattice parameters (Å, degrees): 7.028 7.298 6.947 90.00 102.27 90.00
Space group C2/m (No. 12)
Unique sites:
Ag1 0.000 0.000 0.000 (multiplicity 2)
Pd1 0.120 0.000 0.383 (multiplicity 4)
Pd2 0.125 0.312 0.836 (multiplicity 8)
Pt1 0.000 0.500 0.500 (multiplicity 2)
Pt2 0.213 0.500 0.229 (multiplicity 4)

=====

The following is a theoretical XRD peak list of Pu4AgPd2Pt. It was derived from a DFT-relaxed cell (PBE, Alexandria), using Cu Kα X-rays.

Main lines, most intense first (2θ from 10° to 90°):
2θ (°)	intensity	h k l
35.53	100.0	1 1 0
35.86	86.9	0 1 8
64.02	32.8	1 2 8
51.37	31.6	2 0 8
63.81	18.6	3 0 0
25.03	18.0	1 0 4
86.23	15.0	3 1 8
75.21	11.6	2 2 0

Atomic structure:
Lattice parameters (Å, degrees): 5.0532 5.0532 24.4318 90.00 90.00 120.00
Space group R-3m (No. 166, hexagonal axes)
Unique sites:
Pu1 0.0000 0.0000 0.1175 (multiplicity 6)
Pu2 0.0000 0.0000 0.3681 (multiplicity 6)
Ag1 0.0000 0.0000 0.5000 (multiplicity 3)
Pd1 0.0000 0.0000 0.2410 (multiplicity 6)
Pt1 0.0000 0.0000 0.0000 (multiplicity 3)

=====

The following is a theoretical XRD peak list of TaAgPdPt. It was derived from a DFT-relaxed cell (PBE, Alexandria), using Cu Kα X-rays.

Main lines, most intense first (2θ from 10° to 90°):
2θ (°)	intensity	h k l
39.48	100.0	0 1 5
42.72	96.9	1 0 7
38.96	56.3	0 0 12
77.95	44.3	1 1 12
64.45	39.8	1 1 0
38.21	34.4	1 0 4
44.64	26.3	0 1 8
36.01	25.8	1 0 1

Atomic structure:
Lattice parameters (Å, degrees): 2.8913 2.8913 27.7386 90.00 90.00 120.00
Space group R3m (No. 160, hexagonal axes)
Unique sites:
Ta1 0.0000 0.0000 0.0000 (multiplicity 3)
Ag1 0.0000 0.0000 0.1673 (multiplicity 3)
Pd1 0.0000 0.0000 0.5870 (multiplicity 3)
Pt1 0.0000 0.0000 0.7459 (multiplicity 3)

=====

The following is a theoretical XRD peak list of TbAgPdPt. It was derived from a DFT-relaxed cell (PBE, Alexandria), using Cu Kα X-rays.

Main lines, most intense first (2θ from 10° to 90°):
2θ (°)	intensity	h k l
37.20	100.0	1 1 1
41.28	18.7	0 0 2
43.00	16.6	0 2 0
45.30	14.3	2 0 0
72.57	13.9	1 1 3
74.97	12.7	1 3 1
61.13	11.6	0 2 2
78.26	11.3	3 1 1

Atomic structure:
Lattice parameters (Å, degrees): 4.004 4.207 4.374 90.00 90.00 90.00
Space group Pmmm (No. 47)
Unique sites:
Tb1 0.000 0.000 0.000 (multiplicity 1)
Ag1 0.000 0.500 0.500 (multiplicity 1)
Pd1 0.500 0.000 0.500 (multiplicity 1)
Pt1 0.500 0.500 0.000 (multiplicity 1)

=====

The following is a theoretical XRD peak list of Pu4AgPd4. It was derived from a DFT-relaxed cell (PBE, Alexandria), using Cu Kα X-rays.

Main lines, most intense first (2θ from 10° to 90°):
2θ (°)	intensity	h k l
37.34	100.0	3 0 1
14.29	48.7	1 1 0
42.85	40.0	3 2 1
42.54	26.0	0 0 2
43.82	21.9	3 3 0
62.71	15.1	3 3 2
20.26	13.9	2 0 0
47.84	13.6	4 1 1

Atomic structure:
Lattice parameters (Å, degrees): 8.766 8.766 4.251 90.00 90.00 90.00
Space group I4/m (No. 87)
Unique sites:
Pu1 0.040 0.369 0.000 (multiplicity 8)
Ag1 0.000 0.000 0.000 (multiplicity 2)
Pd1 0.139 0.183 0.500 (multiplicity 8)